Structure and computed powder diffraction line list of Ac2Zn6AgRu (a DFT-relaxed cell (GGA-PBE, Alexandria); Cu Kα (λ = 1.5418 Å)).

Structure:
abc: 6.8994 6.8994 6.8994
angles: 120.10 119.94 89.97
Element x y z (fractional)
Ac 0.2498 0.2498 0.0000
Ac 0.7502 0.7502 0.0000
Zn 0.2540 0.2466 0.5006
Zn 0.2540 0.7534 0.0074
Zn 0.2538 0.7538 0.5000
Zn 0.7462 0.2462 0.5000
Zn 0.7460 0.2466 0.9926
Zn 0.7460 0.7534 0.4994
Ag 0.0000 0.5000 0.5000
Ru 0.5000 0.0000 0.5000

Peak list (10 most intense, 10 to 90 degrees two-theta, in order of rising 2θ)
d/Å, Rel. int.
3.449, 100
2.816, 64
2.439, 89
1.991, 44
1.725, 51
1.543, 20
1.471, 27
1.409, 10
1.304, 15
1.091, 23

***

Structure and computed powder diffraction line list of PrNd5Y2 (a DFT-relaxed cell (GGA-PBE, Alexandria); Cu Kα (λ = 1.5418 Å)).

Structure:
abc: 6.9706 9.4593 9.4759
angles: 85.10 71.18 71.20
Element x y z (fractional)
Pr 0.2491 0.2902 0.2055
Pr 0.7509 0.7098 0.7945
Nd 0.0027 0.1657 0.5836
Nd 0.2493 0.4598 0.5415
Nd 0.2501 0.7936 0.7103
Nd 0.4976 0.4179 0.8353
Nd 0.5002 0.0859 0.6693
Nd 0.4998 0.9141 0.3307
Nd 0.5024 0.5821 0.1647
Nd 0.7499 0.2064 0.2897
Nd 0.7507 0.5402 0.4585
Nd 0.9973 0.8343 0.4164
Y 0.0000 0.3319 0.9162
Y 0.0000 0.6681 0.0838
Y 0.2486 0.9583 0.0403
Y 0.7514 0.0417 0.9597

Peak list (10 most intense, 10 to 90 degrees two-theta, in order of rising 2θ)
d/Å, Rel. int.
3.201, 24
2.956, 25
2.815, 100
2.172, 16
1.848, 19
1.678, 21
1.567, 19
1.545, 13
1.242, 5
1.185, 9

***

Structure and computed powder diffraction line list of Pm8Pr4Sc (a DFT-relaxed cell (GGA-PBE, Alexandria); Cu Kα (λ = 1.5418 Å)).

Structure:
abc: 6.8096 10.7817 6.8580
angles: 90.00 113.85 90.00
Element x y z (fractional)
Pm 0.2213 0.2061 0.2225
Pm 0.2213 0.7939 0.2225
Pm 0.2606 0.3056 0.7389
Pm 0.2606 0.6944 0.7389
Pm 0.7394 0.3056 0.2611
Pm 0.7394 0.6944 0.2611
Pm 0.7787 0.2061 0.7775
Pm 0.7787 0.7939 0.7775
Pr 0.0000 0.0000 0.5000
Pr 0.0000 0.5000 0.0000
Pr 0.5000 0.0000 0.0000
Pr 0.5000 0.5000 0.5000
Sc 0.5000 0.0000 0.5000

Peak list (10 most intense, 10 to 90 degrees two-theta, in order of rising 2θ)
d/Å, Rel. int.
3.525, 52
3.044, 100
2.863, 64
2.711, 80
2.696, 95
1.866, 48
1.686, 17
1.616, 18
1.567, 26
1.561, 17

***

Structure and computed powder diffraction line list of Sn3Bi2Pb3 (a DFT-relaxed cell (GGA-PBE, Alexandria); Cu Kα (λ = 1.5418 Å)).

Structure:
abc: 11.0931 11.0931 4.3700
angles: 101.00 101.00 27.62
Element x y z (fractional)
Sn 0.0000 0.0000 0.0000
Sn 0.1129 0.1129 0.6146
Sn 0.8871 0.8871 0.3854
Bi 0.2314 0.2314 0.2347
Bi 0.7686 0.7686 0.7653
Pb 0.3698 0.3698 0.8743
Pb 0.5000 0.5000 0.5000
Pb 0.6302 0.6302 0.1257

Peak list (10 most intense, 10 to 90 degrees two-theta, in order of rising 2θ)
d/Å, Rel. int.
2.848, 100
2.835, 97
2.645, 76
2.622, 20
2.185, 26
1.870, 23
1.685, 29
1.563, 43
1.424, 11
1.360, 17